No. 1
Diffraction record for MgUGa. The XRD peak list is computed, not measured: it uses a DFT-relaxed cell (GGA-PBE, OQMD) and Cu Kα (weighted mean of Kα1 and Kα2).
Peak positions follow from Bragg's law for the DFT cell and can differ from measured ones.

Crystal structure
a b c (Å): 6.723 6.723 6.723
angles (deg): 90.00 90.00 90.00
Space group F-43m (No. 216)
Asymmetric unit:
Mg: 0.000 0.000 0.000 x4
U: 0.000 0.000 0.500 x4
Ga: 0.250 0.250 0.250 x4

Most intense lines, 2θ from 10° to 90°, in order of falling intensity:
| 2θ/deg | Rel. int. |
| --- | --- |
| 22.91 | 1000 |
| 37.85 | 988 |
| 44.71 | 541 |
| 26.52 | 370 |
| 68.36 | 358 |
| 59.98 | 233 |
| 85.44 | 190 |
| 73.15 | 180 |

---

No. 2
Diffraction record for Ga4Mo. The XRD peak list is computed, not measured: it uses a DFT-relaxed cell (GGA-PBE, OQMD) and Cu Kα (weighted mean of Kα1 and Kα2).
Peak positions follow from Bragg's law for the DFT cell and can differ from measured ones.

Crystal structure
a b c (Å): 5.879 5.879 5.880
angles (deg): 90.00 90.00 90.00
Space group P4/mnc (No. 128)
Asymmetric unit:
Ga: 0.249 0.251 0.250 x8
Mo: 0.000 0.000 0.000 x2

Most intense lines, 2θ from 10° to 90°, in order of falling intensity:
| 2θ/deg | Rel. int. |
| --- | --- |
| 43.54 | 1000 |
| 21.37 | 418 |
| 30.41 | 339 |
| 79.93 | 319 |
| 37.47 | 192 |
| 63.27 | 158 |
| 71.80 | 107 |
| 58.76 | 99 |

---

No. 3
Diffraction record for Ga3Mo. The XRD peak list is computed, not measured: it uses a DFT-relaxed cell (GGA-PBE, OQMD) and Cu Kα (weighted mean of Kα1 and Kα2).
Peak positions follow from Bragg's law for the DFT cell and can differ from measured ones.

Crystal structure
a b c (Å): 6.530 6.530 7.394
angles (deg): 90.00 90.00 90.00
Space group P4_2/mnm (No. 136)
Asymmetric unit:
Ga: 0.000 0.500 0.000 x4
Ga: 0.170 0.170 0.249 x8
Mo: 0.136 0.864 0.000 x4

Most intense lines, 2θ from 10° to 90°, in order of falling intensity:
| 2θ/deg | Rel. int. |
| --- | --- |
| 39.32 | 1000 |
| 18.12 | 471 |
| 43.84 | 431 |
| 36.72 | 361 |
| 68.08 | 223 |
| 49.30 | 197 |
| 22.70 | 195 |
| 39.03 | 170 |